Theoretical PXRD pattern of Li4ZnSeO6 for CuKα, from a cell relaxed with GGA-PBE.
No peak broadening, texture or thermal motion is included.

Structural model:
```
Li4ZnSeO6
1.0
2.549 -4.374 0.000
2.549 4.374 0.000
-1.784 0.000 4.695
Li Zn Se O
4 1 1 6
direct
0.000 0.000 0.000 Li
0.344 0.656 0.000 Li
0.668 0.332 0.000 Li
0.836 0.164 0.500 Li
0.171 0.829 0.500 Zn
0.504 0.496 0.500 Se
0.132 0.422 0.267 O
0.284 0.277 0.718 O
0.426 0.125 0.267 O
0.578 0.868 0.733 O
0.723 0.716 0.282 O
0.875 0.574 0.733 O
```

Most intense lines, 10 to 90 degrees two-theta, low angle first:
- 2θ 18.9, I = 100
- 2θ 20.3, I = 23
- 2θ 21.2, I = 40
- 2θ 23.7, I = 29
- 2θ 27.9, I = 17
- 2θ 36.1, I = 30
- 2θ 43.4, I = 31
- 2θ 44.3, I = 59
- 2θ 63.3, I = 16
- 2θ 64.2, I = 16



Theoretical PXRD pattern of Lu4Sc2Au3N3 for CuKα, from a cell relaxed with GGA-PBE.
No peak broadening, texture or thermal motion is included.

Structural model:
```
Lu4Sc2Au3N3
1.0
5.036 -2.908 0.000
5.036 2.908 0.000
-3.343 0.000 14.164
Lu Sc Au N
8 4 6 6
direct
0.035 0.197 0.097 Lu
0.132 0.301 0.403 Lu
0.197 0.035 0.597 Lu
0.301 0.132 0.903 Lu
0.699 0.868 0.097 Lu
0.803 0.965 0.403 Lu
0.868 0.699 0.597 Lu
0.965 0.803 0.903 Lu
0.358 0.527 0.082 Sc
0.473 0.642 0.418 Sc
0.527 0.358 0.582 Sc
0.642 0.473 0.918 Sc
0.117 0.883 0.250 Au
0.283 0.417 0.750 Au
0.417 0.283 0.250 Au
0.583 0.717 0.750 Au
0.717 0.583 0.250 Au
0.883 0.117 0.750 Au
0.000 0.500 0.000 N
0.169 0.666 0.500 N
0.334 0.831 0.000 N
0.500 0.000 0.500 N
0.666 0.169 0.000 N
0.831 0.334 0.500 N
```

Most intense lines, 10 to 90 degrees two-theta, low angle first:
- 2θ 12.5, I = 10
- 2θ 30.7, I = 24
- 2θ 36.3, I = 100
- 2θ 38.1, I = 17
- 2θ 44.7, I = 7
- 2θ 49.8, I = 14
- 2θ 54.7, I = 21
- 2θ 67.4, I = 15
- 2θ 67.7, I = 12
- 2θ 68.6, I = 17



Theoretical PXRD pattern of Gd2TmAl2Cd4 for CuKα, from a cell relaxed with GGA-PBE.
No peak broadening, texture or thermal motion is included.

Structural model:
```
Gd2TmAl2Cd4
1.0
4.542 0.000 0.000
0.000 6.316 3.682
0.000 -6.316 3.682
Gd Tm Al Cd
2 1 2 4
direct
0.000 0.214 0.786 Gd
0.000 0.786 0.214 Gd
0.000 0.355 0.355 Tm
0.500 0.120 0.451 Al
0.500 0.451 0.120 Al
0.000 0.779 0.779 Cd
0.500 0.036 0.036 Cd
0.500 0.532 0.785 Cd
0.500 0.785 0.532 Cd
```

Most intense lines, 10 to 90 degrees two-theta, low angle first:
- 2θ 28.0, I = 25
- 2θ 31.3, I = 40
- 2θ 31.4, I = 85
- 2θ 34.4, I = 100
- 2θ 34.6, I = 50
- 2θ 37.3, I = 23
- 2θ 37.5, I = 20
- 2θ 37.6, I = 20
- 2θ 39.7, I = 44
- 2θ 55.8, I = 36